The following is a computed PXRD pattern of Ho2BeZnIr2. It was derived from a crystal structure in Alexandria, relaxed with PBE, using a wavelength of 1.5418 Å.
Intensities are scaled so that the largest is 100.

Top 6 peaks for 5 to 70 degrees two-theta, sorted by position:
| (hkl) | 2theta | intensity |
| --- | --- | --- |
| 0 4 0 | 26.55 | 46.1 |
| 2 0 0 | 31.29 | 57.8 |
| 0 0 2 | 31.58 | 69.2 |
| 1 4 1 | 34.80 | 100.0 |
| 0 4 2 | 41.72 | 53.5 |
| 2 0 2 | 45.06 | 69.6 |

Atomic structure:
```
data_Ho2BeZnIr2
_symmetry_space_group_name_H-M 'I b a m'
_symmetry_Int_Tables_number 72
_symmetry_space_group_name_Hall '-I 2 2c'
_cell_length_a 5.7166
_cell_length_b 13.4274
_cell_length_c 5.6660
_cell_angle_alpha 90.00
_cell_angle_beta 90.00
_cell_angle_gamma 90.00
loop_
_atom_site_label
_atom_site_fract_x
_atom_site_fract_y
_atom_site_fract_z
Ho1 0.2278 0.1702 0.0000
Be1 0.0000 0.5000 0.2500
Zn1 0.0000 0.0000 0.2500
Ir1 0.2095 0.3900 0.0000
```

---

The following is a computed PXRD pattern of HoMn10Be2. It was derived from a crystal structure in Alexandria, relaxed with PBE, using a wavelength of 1.5418 Å.
Intensities are scaled so that the largest is 100.

Top 6 peaks for 5 to 70 degrees two-theta, sorted by position:
| (hkl) | 2theta | intensity |
| --- | --- | --- |
| 2 2 1 | 31.11 | 24.8 |
| 0 4 0 | 38.60 | 22.4 |
| 0 2 3 | 39.18 | 32.6 |
| 3 1 2 | 41.18 | 33.1 |
| 4 0 0 | 44.03 | 37.0 |
| 2 2 3 | 45.15 | 100.0 |

Atomic structure:
```
data_HoMn10Be2
_symmetry_space_group_name_H-M 'C m c m'
_symmetry_Int_Tables_number 63
_symmetry_space_group_name_Hall '-C 2c 2'
_cell_length_a 8.2261
_cell_length_b 9.3309
_cell_length_c 7.9271
_cell_angle_alpha 90.00
_cell_angle_beta 90.00
_cell_angle_gamma 90.00
loop_
_atom_site_label
_atom_site_fract_x
_atom_site_fract_y
_atom_site_fract_z
Ho1 0.0000 0.1255 0.2500
Mn1 0.0000 0.1684 0.5979
Mn2 0.0000 0.3937 0.0691
Mn3 0.1330 0.3802 0.7500
Mn4 0.2250 0.0000 0.0000
Mn5 0.2458 0.3726 0.2500
Be1 0.2500 0.2500 0.0000
```

---

The following is a computed PXRD pattern of HoMnBe17. It was derived from a crystal structure in Alexandria, relaxed with PBE, using a wavelength of 1.5418 Å.
Intensities are scaled so that the largest is 100.

Top 6 peaks for 5 to 70 degrees two-theta, sorted by position:
| (hkl) | 2theta | intensity |
| --- | --- | --- |
| 1 0 1 | 15.89 | 100.0 |
| 0 1 2 | 21.29 | 56.7 |
| 1 1 0 | 23.73 | 91.8 |
| 1 1 3 | 34.39 | 89.2 |
| 3 0 0 | 41.73 | 32.2 |
| 3 0 3 | 48.99 | 46.7 |

Atomic structure:
```
data_HoMnBe17
_symmetry_space_group_name_H-M 'R 3 m'
_symmetry_Int_Tables_number 160
_symmetry_space_group_name_Hall 'R 3 -2"'
_cell_length_a 7.4988
_cell_length_b 7.4988
_cell_length_c 10.8902
_cell_angle_alpha 90.00
_cell_angle_beta 90.00
_cell_angle_gamma 120.00
loop_
_atom_site_label
_atom_site_fract_x
_atom_site_fract_y
_atom_site_fract_z
Ho1 0.0000 0.0000 0.0000
Mn1 0.0000 0.0000 0.3299
Be1 0.0000 0.0000 0.5565
Be2 0.0000 0.0000 0.7518
Be3 0.0449 0.3717 0.3251
Be4 0.1689 0.3378 0.4928
Be5 0.1701 0.3402 0.8365
Be6 0.1726 0.3452 0.1457
```

---

The following is a computed PXRD pattern of HoTiBeN3. It was derived from a crystal structure in Alexandria, relaxed with PBE, using a wavelength of 1.5418 Å.
Intensities are scaled so that the largest is 100.

Top 6 peaks for 5 to 70 degrees two-theta, sorted by position:
| (hkl) | 2theta | intensity |
| --- | --- | --- |
| 1 0 1 | 21.99 | 57.0 |
| 0 0 2 | 27.59 | 58.2 |
| 2 0 0 | 28.36 | 57.6 |
| 0 1 1 | 32.23 | 85.8 |
| 2 0 -2 | 34.59 | 53.9 |
| 2 1 -1 | 41.02 | 100.0 |

Atomic structure:
```
data_HoTiBeN3
_symmetry_space_group_name_H-M 'P 1 21/m 1'
_symmetry_Int_Tables_number 11
_cell_length_a 6.4911
_cell_length_b 3.0761
_cell_length_c 6.6681
_cell_angle_alpha 90.00
_cell_angle_beta 104.17
_cell_angle_gamma 90.00
loop_
_symmetry_equiv_pos_as_xyz
'x,y,z'
'-x,-y,-z'
'-x,y+1/2,-z'
'x,-y+1/2,z'
loop_
_atom_site_label
_atom_site_fract_x
_atom_site_fract_y
_atom_site_fract_z
Ho1 0.1937 0.2500 0.2266
Ti1 0.3359 0.7500 0.8425
Be1 0.0906 0.2500 0.5974
N1 0.1223 0.2500 0.8580
N2 0.1824 0.7500 0.5187
N3 0.4414 0.7500 0.1606
```

---

The following is a computed PXRD pattern of NdHoBe2Pd5. It was derived from a crystal structure in Alexandria, relaxed with PBE, using a wavelength of 1.5418 Å.
Intensities are scaled so that the largest is 100.

Top 6 peaks for 5 to 70 degrees two-theta, sorted by position:
| (hkl) | 2theta | intensity |
| --- | --- | --- |
| 1 0 2 | 29.46 | 10.4 |
| 1 1 2 | 36.94 | 100.0 |
| 0 0 4 | 39.75 | 19.3 |
| 2 0 0 | 44.43 | 29.7 |
| 2 0 4 | 61.13 | 21.5 |
| 2 2 0 | 64.65 | 9.6 |

Atomic structure:
```
data_NdHoBe2Pd5
_symmetry_space_group_name_H-M 'P 4/m m m'
_symmetry_Int_Tables_number 123
_symmetry_space_group_name_Hall '-P 4 2'
_cell_length_a 4.0778
_cell_length_b 4.0778
_cell_length_c 9.0698
_cell_angle_alpha 90.00
_cell_angle_beta 90.00
_cell_angle_gamma 90.00
loop_
_atom_site_label
_atom_site_fract_x
_atom_site_fract_y
_atom_site_fract_z
Nd1 0.0000 0.0000 0.0000
Ho1 0.0000 0.0000 0.5000
Be1 0.5000 0.5000 0.3692
Pd1 0.0000 0.5000 0.2493
Pd2 0.5000 0.5000 0.0000
```

---

The following is a computed PXRD pattern of HoBe4Ni8. It was derived from a crystal structure in Alexandria, relaxed with PBE, using a wavelength of 1.5418 Å.
Intensities are scaled so that the largest is 100.

Top 6 peaks for 5 to 70 degrees two-theta, sorted by position:
| (hkl) | 2theta | intensity |
| --- | --- | --- |
| 2 0 0 | 22.60 | 37.7 |
| 2 1 1 | 32.16 | 28.3 |
| 3 1 0 | 36.10 | 11.3 |
| 0 0 2 | 39.63 | 65.2 |
| 4 0 0 | 46.13 | 100.0 |
| 4 0 2 | 62.40 | 12.1 |

Atomic structure:
```
data_HoBe4Ni8
_symmetry_space_group_name_H-M 'I 4/m m m'
_symmetry_Int_Tables_number 139
_symmetry_space_group_name_Hall '-I 4 2'
_cell_length_a 7.8678
_cell_length_b 7.8678
_cell_length_c 4.5515
_cell_angle_alpha 90.00
_cell_angle_beta 90.00
_cell_angle_gamma 90.00
loop_
_atom_site_label
_atom_site_fract_x
_atom_site_fract_y
_atom_site_fract_z
Ho1 0.0000 0.0000 0.0000
Be1 0.2500 0.2500 0.2500
Ni1 0.0000 0.2262 0.5000
Ni2 0.0000 0.3489 0.0000
```

---

The following is a computed PXRD pattern of Ho2Be4Ni5. It was derived from a crystal structure in Alexandria, relaxed with PBE, using a wavelength of 1.5418 Å.
Intensities are scaled so that the largest is 100.

Top 6 peaks for 5 to 70 degrees two-theta, sorted by position:
| (hkl) | 2theta | intensity |
| --- | --- | --- |
| 1 1 1 | 21.38 | 40.0 |
| 1 1 3 | 28.98 | 100.0 |
| 0 2 4 | 34.64 | 77.7 |
| 2 2 0 | 41.15 | 78.1 |
| 1 3 3 | 41.75 | 46.9 |
| 2 0 4 | 45.21 | 41.5 |

Atomic structure:
```
data_Ho2Be4Ni5
_symmetry_space_group_name_H-M 'F m m m'
_symmetry_Int_Tables_number 69
_symmetry_space_group_name_Hall '-F 2 2'
_cell_length_a 5.1027
_cell_length_b 8.5938
_cell_length_c 12.9818
_cell_angle_alpha 90.00
_cell_angle_beta 90.00
_cell_angle_gamma 90.00
loop_
_atom_site_label
_atom_site_fract_x
_atom_site_fract_y
_atom_site_fract_z
Ho1 0.0000 0.0000 0.1339
Be1 0.0000 0.1574 0.3712
Ni1 0.0000 0.0000 0.5000
Ni2 0.2500 0.2500 0.0000
Ni3 0.2500 0.2500 0.2500
```

---

The following is a computed PXRD pattern of Ho2Be2SiO7. It was derived from a crystal structure in Alexandria, relaxed with PBE, using a wavelength of 1.5418 Å.
Intensities are scaled so that the largest is 100.

Top 6 peaks for 5 to 70 degrees two-theta, sorted by position:
| (hkl) | 2theta | intensity |
| --- | --- | --- |
| 0 0 1 | 18.57 | 54.0 |
| 2 1 0 | 27.27 | 52.3 |
| 2 0 1 | 30.80 | 27.1 |
| 2 1 1 | 33.20 | 100.0 |
| 2 1 2 | 47.12 | 41.9 |
| 3 1 2 | 55.28 | 32.2 |

Atomic structure:
```
data_Ho2Be2SiO7
_symmetry_space_group_name_H-M 'P -4 21 m'
_symmetry_Int_Tables_number 113
_cell_length_a 7.3120
_cell_length_b 7.3120
_cell_length_c 4.7774
_cell_angle_alpha 90.00
_cell_angle_beta 90.00
_cell_angle_gamma 90.00
loop_
_symmetry_equiv_pos_as_xyz
'x,y,z'
'y,-x,-z'
'-x,-y,z'
'-y,x,-z'
'x+1/2,-y+1/2,-z'
'y+1/2,x+1/2,z'
'-x+1/2,y+1/2,-z'
'-y+1/2,-x+1/2,z'
loop_
_atom_site_label
_atom_site_fract_x
_atom_site_fract_y
_atom_site_fract_z
Ho1 0.1586 0.3414 0.4916
Be1 0.1369 0.6369 0.9590
Si1 0.0000 0.0000 0.0000
O1 0.0000 0.5000 0.8162
O2 0.0825 0.8375 0.7990
O3 0.1414 0.6414 0.2918
```

---

The following is a computed PXRD pattern of Ho4BePd3. It was derived from a crystal structure in Alexandria, relaxed with PBE, using a wavelength of 1.5418 Å.
Intensities are scaled so that the largest is 100.

Top 6 peaks for 5 to 70 degrees two-theta, sorted by position:
| (hkl) | 2theta | intensity |
| --- | --- | --- |
| 0 1 2 | 26.33 | 25.5 |
| 1 1 1 | 32.47 | 100.0 |
| 0 0 4 | 33.87 | 27.7 |
| 1 0 3 | 34.90 | 32.7 |
| 1 1 3 | 40.64 | 49.2 |
| 0 2 0 | 41.00 | 28.2 |

Atomic structure:
```
data_Ho4BePd3
_symmetry_space_group_name_H-M 'P m m 2'
_symmetry_Int_Tables_number 25
_cell_length_a 3.7522
_cell_length_b 4.4025
_cell_length_c 10.5868
_cell_angle_alpha 90.00
_cell_angle_beta 90.00
_cell_angle_gamma 90.00
loop_
_symmetry_equiv_pos_as_xyz
'x,y,z'
'-x,-y,z'
'-x,y,z'
'x,-y,z'
loop_
_atom_site_label
_atom_site_fract_x
_atom_site_fract_y
_atom_site_fract_z
Ho1 0.0000 0.0000 0.0000
Ho2 0.0000 0.5000 0.2775
Ho3 0.5000 0.0000 0.4968
Ho4 0.5000 0.5000 0.7785
Be1 0.5000 0.0000 0.2068
Pd1 0.0000 0.0000 0.7268
Pd2 0.0000 0.5000 0.5528
Pd3 0.5000 0.5000 0.0725
```

---

The following is a computed PXRD pattern of HoBe9Pd2. It was derived from a crystal structure in Alexandria, relaxed with PBE, using a wavelength of 1.5418 Å.
Intensities are scaled so that the largest is 100.

Top 6 peaks for 5 to 70 degrees two-theta, sorted by position:
| (hkl) | 2theta | intensity |
| --- | --- | --- |
| 1 0 0 | 22.78 | 53.4 |
| 1 0 1 | 23.62 | 100.0 |
| 0 0 4 | 24.78 | 30.5 |
| 1 0 5 | 38.91 | 92.6 |
| 1 1 0 | 40.00 | 61.0 |
| 1 1 4 | 47.63 | 44.6 |

Atomic structure:
```
data_HoBe9Pd2
_symmetry_space_group_name_H-M 'P 63/m m c'
_symmetry_Int_Tables_number 194
_symmetry_space_group_name_Hall '-P 6c 2c'
_cell_length_a 4.5078
_cell_length_b 4.5078
_cell_length_c 14.3714
_cell_angle_alpha 90.00
_cell_angle_beta 90.00
_cell_angle_gamma 120.00
loop_
_atom_site_label
_atom_site_fract_x
_atom_site_fract_y
_atom_site_fract_z
Ho1 0.3333 0.6667 0.2500
Be1 0.0000 0.0000 0.0000
Be2 0.0000 0.0000 0.2500
Be3 0.1678 0.3356 0.6191
Be4 0.3333 0.6667 0.7500
Pd1 0.3333 0.6667 0.0417
```

---

The following is a computed PXRD pattern of Ho3Be2Pd5. It was derived from a crystal structure in Alexandria, relaxed with PBE, using a wavelength of 1.5418 Å.
Intensities are scaled so that the largest is 100.

Top 6 peaks for 5 to 70 degrees two-theta, sorted by position:
| (hkl) | 2theta | intensity |
| --- | --- | --- |
| 2 1 1 | 32.16 | 81.9 |
| 2 2 1 | 35.98 | 44.3 |
| 4 1 0 | 37.94 | 61.9 |
| 3 1 1 | 38.33 | 100.0 |
| 4 2 0 | 41.29 | 35.4 |
| 4 1 2 | 64.94 | 25.3 |

Atomic structure:
```
data_Ho3Be2Pd5
_symmetry_space_group_name_H-M 'P 4/m b m'
_symmetry_Int_Tables_number 127
_symmetry_space_group_name_Hall '-P 4 2ab'
_cell_length_a 9.7783
_cell_length_b 9.7783
_cell_length_c 3.6085
_cell_angle_alpha 90.00
_cell_angle_beta 90.00
_cell_angle_gamma 90.00
loop_
_atom_site_label
_atom_site_fract_x
_atom_site_fract_y
_atom_site_fract_z
Ho1 0.0000 0.0000 0.0000
Ho2 0.1772 0.3228 0.0000
Be1 0.1153 0.6153 0.0000
Pd1 0.0000 0.5000 0.5000
Pd2 0.0708 0.7766 0.5000
```

---

The following is a computed PXRD pattern of PmHoBeRh. It was derived from a crystal structure in Alexandria, relaxed with PBE, using a wavelength of 1.5418 Å.
Intensities are scaled so that the largest is 100.

Top 6 peaks for 5 to 70 degrees two-theta, sorted by position:
| (hkl) | 2theta | intensity |
| --- | --- | --- |
| 1 1 1 | 22.19 | 13.9 |
| 2 0 0 | 25.67 | 27.3 |
| 2 2 0 | 36.62 | 100.0 |
| 4 0 0 | 52.76 | 17.5 |
| 4 2 0 | 59.57 | 11.0 |
| 4 2 2 | 65.94 | 35.6 |

Atomic structure:
```
data_PmHoBeRh
_symmetry_space_group_name_H-M 'F -4 3 m'
_symmetry_Int_Tables_number 216
_symmetry_space_group_name_Hall 'F -4 2 3'
_cell_length_a 6.9401
_cell_length_b 6.9401
_cell_length_c 6.9401
_cell_angle_alpha 90.00
_cell_angle_beta 90.00
_cell_angle_gamma 90.00
loop_
_atom_site_label
_atom_site_fract_x
_atom_site_fract_y
_atom_site_fract_z
Pm1 0.0000 0.0000 0.0000
Ho1 0.0000 0.0000 0.5000
Be1 0.2500 0.2500 0.7500
Rh1 0.2500 0.2500 0.2500
```